[1]
Diffraction record for CePrBiSb. The X-ray powder pattern is simulated, not measured: it uses a structure optimized by DFT (PBE) and Cu Kα.
Kinematic intensities with the Lorentz-polarization factor, no thermal factor.

Cell and atoms:
Unit cell a=7.9312 b=7.9312 c=7.9312 alpha=33.50 beta=33.50 gamma=33.50
Positions (direct):
Ce 0.0000 0.0000 0.0000
Pr 0.5040 0.5040 0.5040
Bi 0.7502 0.7502 0.7502
Sb 0.2535 0.2535 0.2535

The 10 most intense peaks (5° ≤ 2θ ≤ 70°), by angle:
two_theta	intensity
11.83	3
22.81	3
27.58	100
30.10	2
36.04	1
39.39	78
48.76	28
54.46	2
56.93	13
64.41	37


[2]
Diffraction record for Li12Zn7Ni. The X-ray powder pattern is simulated, not measured: it uses a structure optimized by DFT (PBE) and Cu Kα.
Kinematic intensities with the Lorentz-polarization factor, no thermal factor.

Cell and atoms:
Unit cell a=6.9589 b=6.9589 c=6.9589 alpha=101.39 beta=101.39 gamma=101.39
Positions (direct):
Li 0.9995 0.2643 0.7355
Li 0.0005 0.7357 0.2645
Li 0.1724 0.1736 0.4208
Li 0.1736 0.4208 0.1724
Li 0.2645 0.0005 0.7357
Li 0.2643 0.7355 0.9995
Li 0.4208 0.1724 0.1736
Li 0.5792 0.8276 0.8264
Li 0.7355 0.9995 0.2643
Li 0.7357 0.2645 0.0005
Li 0.8264 0.5792 0.8276
Li 0.8276 0.8264 0.5792
Zn 0.0000 0.0000 0.0000
Zn 0.1845 0.5864 0.5860
Zn 0.4136 0.4140 0.8155
Zn 0.4140 0.8155 0.4136
Zn 0.5860 0.1845 0.5864
Zn 0.5864 0.5860 0.1845
Zn 0.8155 0.4136 0.4140
Ni 0.5000 0.5000 0.5000

The 10 most intense peaks (5° ≤ 2θ ≤ 70°), by angle:
two_theta	intensity
13.39	77
21.25	100
26.98	16
33.28	36
39.64	16
39.81	31
40.95	27
43.38	33
46.53	16
46.66	41